Simulated X-ray powder pattern of Ce2Mg17 for CuKα, from the PBE geometry in the Materials Project.

The 12 most intense peaks (10 to 80 degrees two-theta), by angle:
13.20°, d = 6.709 Å, rel. 34, (1 0 1); 17.19°, d = 5.159 Å, rel. 34, (1 1 0); 24.60°, d = 3.619 Å, rel. 71, (1 1 2); 30.00°, d = 2.979 Å, rel. 50, (3 0 0); 34.78°, d = 2.580 Å, rel. 48, (2 2 0); 34.92°, d = 2.569 Å, rel. 100, (3 0 2); 35.35°, d = 2.539 Å, rel. 25, (0 0 4); 50.11°, d = 1.820 Å, rel. 21, (4 1 2); 50.43°, d = 1.810 Å, rel. 21, (2 2 4); 56.49°, d = 1.629 Å, rel. 24, (3 3 2); 62.34°, d = 1.489 Å, rel. 18, (6 0 0); 63.18°, d = 1.472 Å, rel. 21, (3 0 6)

Cell and atoms:
a = 10.3190 Å, b = 10.3190 Å, c = 10.1565 Å
α = 90.00°, β = 90.00°, γ = 120.00°
Space group P6_3/mmc (No. 194)
Inequivalent atoms, fractional coordinates:
Ce 0.0000 0.0000 0.2500 [2 per cell]
Ce 0.3333 0.6667 0.2500 [2 per cell]
Mg 0.0000 0.5000 0.0000 [6 per cell]
Mg 0.0049 0.3378 0.7500 [12 per cell]
Mg 0.1652 0.3305 0.0021 [12 per cell]
Mg 0.3333 0.6667 0.6053 [4 per cell]

---

Simulated X-ray powder pattern of Ce3Mg for CuKα, from the PBE geometry in the Materials Project.

The 12 most intense peaks (10 to 80 degrees two-theta), by angle:
14.82°, d = 5.978 Å, rel. 7, (1 0 0); 22.28°, d = 3.991 Å, rel. 20, (1 0 1); 25.81°, d = 3.451 Å, rel. 9, (1 1 0); 29.89°, d = 2.989 Å, rel. 24, (2 0 0); 33.44°, d = 2.680 Å, rel. 24, (0 0 2); 34.35°, d = 2.611 Å, rel. 100, (2 0 1); 43.46°, d = 2.082 Å, rel. 6, (2 1 1); 45.46°, d = 1.995 Å, rel. 17, (2 0 2); 53.06°, d = 1.726 Å, rel. 21, (2 2 0); 60.36°, d = 1.534 Å, rel. 19, (2 0 3); 64.19°, d = 1.451 Å, rel. 22, (2 2 2); 64.76°, d = 1.440 Å, rel. 16, (4 0 1)

Cell and atoms:
a = 6.9029 Å, b = 6.9029 Å, c = 5.3598 Å
α = 90.00°, β = 90.00°, γ = 120.00°
Space group P6_3/mmc (No. 194)
Inequivalent atoms, fractional coordinates:
Ce 0.1677 0.3354 0.2500 [6 per cell]
Mg 0.3333 0.6667 0.7500 [2 per cell]

---

Simulated X-ray powder pattern of CeMg5 for CuKα, from the PBE geometry in the Materials Project.

The 12 most intense peaks (10 to 80 degrees two-theta), by angle:
16.18°, d = 5.478 Å, rel. 26, (0 0 3); 19.02°, d = 4.666 Å, rel. 54, (1 0 1); 21.22°, d = 4.187 Å, rel. 43, (0 1 2); 28.43°, d = 3.139 Å, rel. 21, (1 0 4); 31.85°, d = 2.809 Å, rel. 33, (1 1 0); 32.70°, d = 2.739 Å, rel. 27, (0 0 6); 35.92°, d = 2.500 Å, rel. 100, (1 1 3); 46.30°, d = 1.961 Å, rel. 23, (1 1 6); 56.76°, d = 1.622 Å, rel. 16, (3 0 0); 60.47°, d = 1.531 Å, rel. 21, (1 1 9); 67.06°, d = 1.396 Å, rel. 19, (3 0 6); 69.02°, d = 1.361 Å, rel. 16, (2 2 3)

Cell and atoms:
a = 5.6188 Å, b = 5.6188 Å, c = 16.4330 Å
α = 90.00°, β = 90.00°, γ = 120.00°
Space group R32 (No. 155, hexagonal axes)
Inequivalent atoms, fractional coordinates:
Ce 0.0000 0.0000 0.0000 [3 per cell]
Mg 0.0000 0.0000 0.3334 [6 per cell]
Mg 0.0000 0.6686 0.5000 [9 per cell]

---

Simulated X-ray powder pattern of Ce2Mg for CuKα, from the PBE geometry in the Materials Project.

The 12 most intense peaks (10 to 80 degrees two-theta), by angle:
17.82°, d = 4.976 Å, rel. 86, (1 1 0); 20.44°, d = 4.345 Å, rel. 36, (1 1 -1); 31.49°, d = 2.841 Å, rel. 34, (3 1 -1); 33.04°, d = 2.712 Å, rel. 32, (1 1 -2); 33.36°, d = 2.686 Å, rel. 100, (0 2 1); 33.64°, d = 2.664 Å, rel. 56, (0 0 2); 35.52°, d = 2.527 Å, rel. 62, (3 1 0); 36.11°, d = 2.487 Å, rel. 49, (3 1 -2); 39.50°, d = 2.281 Å, rel. 23, (4 0 -2); 46.27°, d = 1.962 Å, rel. 27, (1 3 -1); 52.63°, d = 1.739 Å, rel. 26, (3 3 -1); 61.01°, d = 1.519 Å, rel. 22, (4 0 -4)

Cell and atoms:
a = 9.585 Å, b = 6.219 Å, c = 6.154 Å
α = 90.00°, β = 120.04°, γ = 90.00°
Space group C2/c (No. 15)
Inequivalent atoms, fractional coordinates:
Ce 0.147 0.092 0.267 [8 per cell]
Mg 0.000 0.406 0.750 [4 per cell]

---

Simulated X-ray powder pattern of Ce2Mg for CuKα, from the PBE geometry in the Materials Project.

The 12 most intense peaks (10 to 80 degrees two-theta), by angle:
11.51°, d = 7.689 Å, rel. 11, (0 0 1); 14.61°, d = 6.062 Å, rel. 20, (2 0 0); 15.66°, d = 5.658 Å, rel. 29, (2 0 -1); 31.06°, d = 2.879 Å, rel. 24, (2 0 2); 31.63°, d = 2.829 Å, rel. 37, (4 0 -2); 31.94°, d = 2.802 Å, rel. 20, (1 1 1); 34.97°, d = 2.566 Å, rel. 31, (0 0 3); 35.76°, d = 2.511 Å, rel. 100, (1 1 -2); 45.57°, d = 1.991 Å, rel. 13, (5 1 -1); 55.82°, d = 1.647 Å, rel. 12, (3 1 3); 59.05°, d = 1.564 Å, rel. 19, (5 1 -4); 67.09°, d = 1.395 Å, rel. 15, (4 2 -2)

Cell and atoms:
a = 12.710 Å, b = 3.208 Å, c = 8.061 Å
α = 90.00°, β = 107.48°, γ = 90.00°
Space group Cm (No. 8)
Inequivalent atoms, fractional coordinates:
Ce 0.000 0.000 0.000 [2 per cell]
Ce 0.033 0.000 0.573 [2 per cell]
Ce 0.133 0.500 0.324 [2 per cell]
Ce 0.338 0.000 0.673 [2 per cell]
Mg 0.215 0.500 0.930 [2 per cell]
Mg 0.354 0.000 0.244 [2 per cell]

---

Simulated X-ray powder pattern of CeMg for CuKα, from the PBE geometry in the Materials Project.

The 12 most intense peaks (10 to 80 degrees two-theta), by angle:
26.04°, d = 3.422 Å, rel. 20, (0 0 5); 31.37°, d = 2.852 Å, rel. 31, (0 0 6); 32.71°, d = 2.737 Å, rel. 26, (1 0 0); 34.40°, d = 2.607 Å, rel. 32, (1 0 2); 36.40°, d = 2.468 Å, rel. 100, (1 0 3); 39.07°, d = 2.306 Å, rel. 9, (1 0 4); 45.95°, d = 1.975 Å, rel. 18, (1 0 6); 54.44°, d = 1.685 Å, rel. 15, (1 0 8); 58.39°, d = 1.580 Å, rel. 17, (1 1 0); 59.16°, d = 1.562 Å, rel. 21, (1 0 9); 67.79°, d = 1.382 Å, rel. 20, (1 1 6); 70.79°, d = 1.331 Å, rel. 14, (2 0 3)

Cell and atoms:
a = 3.1609 Å, b = 3.1609 Å, c = 17.1118 Å
α = 90.00°, β = 90.00°, γ = 120.00°
Space group P-6m2 (No. 187)
Inequivalent atoms, fractional coordinates:
Ce 0.0000 0.0000 0.0000 [1 per cell]
Ce 0.3333 0.6667 0.1747 [2 per cell]
Mg 0.0000 0.0000 0.3452 [2 per cell]
Mg 0.3333 0.6667 0.5000 [1 per cell]

---

Simulated X-ray powder pattern of Ce2Mg for CuKα, from the PBE geometry in the Materials Project.

The 12 most intense peaks (10 to 80 degrees two-theta), by angle:
19.89°, d = 4.465 Å, rel. 15, (0 0 2); 29.44°, d = 3.034 Å, rel. 14, (1 1 -1); 30.02°, d = 2.977 Å, rel. 17, (0 0 3); 31.72°, d = 2.821 Å, rel. 51, (2 0 2); 33.24°, d = 2.695 Å, rel. 100, (1 1 -2); 34.15°, d = 2.626 Å, rel. 48, (4 0 -2); 37.36°, d = 2.407 Å, rel. 31, (2 0 -4); 38.91°, d = 2.315 Å, rel. 60, (3 1 0); 53.42°, d = 1.715 Å, rel. 13, (1 1 4); 56.55°, d = 1.628 Å, rel. 25, (0 2 0); 56.64°, d = 1.625 Å, rel. 22, (5 1 -4); 67.77°, d = 1.383 Å, rel. 14, (4 2 -2)

Cell and atoms:
a = 10.685 Å, b = 3.253 Å, c = 9.656 Å
α = 90.00°, β = 112.36°, γ = 90.00°
Space group C2/m (No. 12)
Inequivalent atoms, fractional coordinates:
Ce 0.019 0.000 0.278 [4 per cell]
Ce 0.187 0.500 0.611 [4 per cell]
Mg 0.158 0.500 0.058 [4 per cell]

---

Simulated X-ray powder pattern of CeMg for CuKα, from the PBE geometry in the Materials Project.

The 9 most intense peaks (10 to 80 degrees two-theta), by angle:
23.17°, d = 3.839 Å, rel. 58, (1 0 0); 33.00°, d = 2.714 Å, rel. 100, (1 1 0); 40.71°, d = 2.216 Å, rel. 18, (1 1 1); 47.36°, d = 1.919 Å, rel. 18, (2 0 0); 53.37°, d = 1.717 Å, rel. 24, (2 1 0); 58.93°, d = 1.567 Å, rel. 37, (2 1 1); 69.23°, d = 1.357 Å, rel. 11, (2 2 0); 74.10°, d = 1.280 Å, rel. 12, (3 0 0); 78.85°, d = 1.214 Å, rel. 16, (3 1 0)

Cell and atoms:
a = 3.839 Å, b = 3.839 Å, c = 3.839 Å
α = 90.00°, β = 90.00°, γ = 90.00°
Space group Pm-3m (No. 221)
Inequivalent atoms, fractional coordinates:
Ce 0.000 0.000 0.000 [1 per cell]
Mg 0.500 0.500 0.500 [1 per cell]

---

Simulated X-ray powder pattern of Ce2Mg for CuKα, from the PBE geometry in the Materials Project.

The 12 most intense peaks (10 to 80 degrees two-theta), by angle:
14.00°, d = 6.324 Å, rel. 89, (2 0 0); 28.52°, d = 3.130 Å, rel. 30, (1 1 0); 31.57°, d = 2.834 Å, rel. 51, (1 1 1); 32.55°, d = 2.751 Å, rel. 86, (4 0 -2); 33.14°, d = 2.703 Å, rel. 68, (4 0 1); 34.99°, d = 2.564 Å, rel. 99, (3 1 0); 35.78°, d = 2.510 Å, rel. 50, (0 0 3); 36.28°, d = 2.476 Å, rel. 100, (1 1 -2); 44.95°, d = 2.017 Å, rel. 32, (5 1 -1); 54.61°, d = 1.681 Å, rel. 39, (3 1 3); 62.54°, d = 1.485 Å, rel. 27, (7 1 1); 67.52°, d = 1.387 Å, rel. 37, (1 1 -5)

Cell and atoms:
a = 12.993 Å, b = 3.230 Å, c = 7.734 Å
α = 90.00°, β = 103.21°, γ = 90.00°
Space group C2/m (No. 12)
Inequivalent atoms, fractional coordinates:
Ce 0.138 0.000 0.033 [4 per cell]
Ce 0.202 0.000 0.643 [4 per cell]
Mg 0.028 0.500 0.314 [4 per cell]

---

Simulated X-ray powder pattern of CeMg for CuKα, from the PBE geometry in the Materials Project.

The 12 most intense peaks (10 to 80 degrees two-theta), by angle:
16.16°, d = 5.486 Å, rel. 100, (0 0 1); 18.50°, d = 4.795 Å, rel. 27, (2 0 -1); 27.64°, d = 3.227 Å, rel. 23, (1 1 0); 30.41°, d = 2.940 Å, rel. 43, (2 0 -2); 32.64°, d = 2.743 Å, rel. 26, (0 0 2); 33.89°, d = 2.645 Å, rel. 58, (1 1 1); 34.82°, d = 2.577 Å, rel. 30, (4 0 0); 36.32°, d = 2.473 Å, rel. 63, (3 1 -1); 37.22°, d = 2.416 Å, rel. 26, (3 1 0); 42.60°, d = 2.122 Å, rel. 18, (3 1 -2); 44.93°, d = 2.018 Å, rel. 16, (3 1 1); 54.00°, d = 1.698 Å, rel. 25, (0 2 0)

Cell and atoms:
a = 11.178 Å, b = 3.398 Å, c = 5.951 Å
α = 90.00°, β = 112.78°, γ = 90.00°
Space group C2/m (No. 12)
Inequivalent atoms, fractional coordinates:
Ce 0.143 0.000 0.446 [4 per cell]
Mg 0.127 0.500 0.940 [4 per cell]

---

Simulated X-ray powder pattern of Ce2Mg for CuKα, from the PBE geometry in the Materials Project.

The 12 most intense peaks (10 to 80 degrees two-theta), by angle:
20.27°, d = 4.381 Å, rel. 40, (1 1 0); 21.30°, d = 4.171 Å, rel. 89, (1 0 1); 25.75°, d = 3.460 Å, rel. 100, (1 1 1); 31.73°, d = 2.820 Å, rel. 40, (0 0 2); 32.31°, d = 2.771 Å, rel. 76, (2 1 0); 36.12°, d = 2.487 Å, rel. 15, (2 1 1); 37.95°, d = 2.371 Å, rel. 16, (1 1 2); 44.36°, d = 2.042 Å, rel. 44, (2 2 1); 45.92°, d = 1.976 Å, rel. 57, (2 1 2); 46.85°, d = 1.939 Å, rel. 50, (3 0 1); 53.00°, d = 1.728 Å, rel. 15, (1 1 3); 67.36°, d = 1.390 Å, rel. 17, (3 0 3)

Cell and atoms:
a = 6.196 Å, b = 6.196 Å, c = 5.639 Å
α = 90.00°, β = 90.00°, γ = 90.00°
Space group P4_2/mnm (No. 136)
Inequivalent atoms, fractional coordinates:
Ce 0.150 0.150 0.000 [4 per cell]
Mg 0.000 0.000 0.500 [2 per cell]

---

Simulated X-ray powder pattern of CeMg5 for CuKα, from the PBE geometry in the Materials Project.

The 12 most intense peaks (10 to 80 degrees two-theta), by angle:
16.90°, d = 5.246 Å, rel. 41, (1 0 0); 19.60°, d = 4.529 Å, rel. 60, (1 0 2); 19.77°, d = 4.490 Å, rel. 27, (0 0 4); 26.13°, d = 3.411 Å, rel. 37, (1 0 4); 29.31°, d = 3.047 Å, rel. 23, (0 1 1); 32.59°, d = 2.747 Å, rel. 40, (0 1 3); 34.02°, d = 2.635 Å, rel. 30, (1 1 1); 34.19°, d = 2.623 Å, rel. 41, (2 0 0); 34.50°, d = 2.600 Å, rel. 68, (1 0 6); 36.94°, d = 2.434 Å, rel. 100, (1 1 3); 47.95°, d = 1.897 Å, rel. 27, (2 1 3); 66.15°, d = 1.413 Å, rel. 22, (2 1 9)

Cell and atoms:
a = 5.246 Å, b = 3.092 Å, c = 17.958 Å
α = 90.00°, β = 90.00°, γ = 90.00°
Space group Amm2 (No. 38)
Inequivalent atoms, fractional coordinates:
Ce 0.000 0.000 0.000 [2 per cell]
Mg 0.000 0.000 0.329 [2 per cell]
Mg 0.000 0.000 0.671 [2 per cell]
Mg 0.500 0.000 0.111 [2 per cell]
Mg 0.500 0.000 0.430 [2 per cell]
Mg 0.500 0.000 0.775 [2 per cell]

---

Simulated X-ray powder pattern of CeMg15 for CuKα, from the PBE geometry in the Materials Project.

The 12 most intense peaks (10 to 80 degrees two-theta), by angle:
15.76°, d = 5.622 Å, rel. 24, (1 0 0); 18.00°, d = 4.928 Å, rel. 34, (1 0 1); 23.50°, d = 3.786 Å, rel. 19, (1 0 2); 28.85°, d = 3.094 Å, rel. 12, (1 1 1); 31.83°, d = 2.811 Å, rel. 27, (2 0 0); 35.04°, d = 2.561 Å, rel. 24, (0 0 4); 36.46°, d = 2.464 Å, rel. 100, (2 0 2); 48.06°, d = 1.893 Å, rel. 17, (2 0 4); 56.72°, d = 1.623 Å, rel. 17, (2 2 0); 63.78°, d = 1.459 Å, rel. 18, (2 0 6); 68.44°, d = 1.371 Å, rel. 19, (2 2 4); 69.33°, d = 1.355 Å, rel. 14, (4 0 2)

Cell and atoms:
a = 6.4917 Å, b = 6.4917 Å, c = 10.2433 Å
α = 90.00°, β = 90.00°, γ = 120.00°
Space group P-6m2 (No. 187)
Inequivalent atoms, fractional coordinates:
Ce 0.0000 0.0000 0.0000 [1 per cell]
Mg 0.0000 0.0000 0.5000 [1 per cell]
Mg 0.0135 0.5068 0.0000 [3 per cell]
Mg 0.1671 0.3342 0.2555 [6 per cell]
Mg 0.5013 0.0026 0.5000 [3 per cell]
Mg 0.6667 0.3333 0.2410 [2 per cell]

---

Simulated X-ray powder pattern of Ce2Mg for CuKα, from the PBE geometry in the Materials Project.

The 12 most intense peaks (10 to 80 degrees two-theta), by angle:
15.71°, d = 5.639 Å, rel. 21, (0 0 1); 17.75°, d = 4.996 Å, rel. 12, (1 0 0); 23.79°, d = 3.740 Å, rel. 12, (1 0 1); 31.00°, d = 2.885 Å, rel. 31, (1 1 0); 31.74°, d = 2.820 Å, rel. 28, (0 0 2); 34.94°, d = 2.568 Å, rel. 100, (1 1 1); 44.96°, d = 2.016 Å, rel. 22, (1 1 2); 55.15°, d = 1.665 Å, rel. 17, (3 0 0); 58.62°, d = 1.575 Å, rel. 22, (1 1 3); 65.04°, d = 1.434 Å, rel. 21, (3 0 2); 66.97°, d = 1.397 Å, rel. 15, (2 2 1); 73.79°, d = 1.284 Å, rel. 5, (2 2 2)

Cell and atoms:
a = 5.7691 Å, b = 5.7691 Å, c = 5.6392 Å
α = 90.00°, β = 90.00°, γ = 120.00°
Space group P-62m (No. 189)
Inequivalent atoms, fractional coordinates:
Ce 0.0000 0.0000 0.0000 [1 per cell]
Ce 0.0000 0.6665 0.5000 [3 per cell]
Mg 0.3333 0.6667 0.0000 [2 per cell]